[1]
Diffraction record for Ac4GaAs3. The powder XRD pattern is computed, not measured: it uses a DFT-relaxed cell (GGA-PBE, Alexandria) and Cu Kα.
Intensities are scaled so that the largest is 100.

Main lines, by intensity (2θ from 10° to 90°):
two_theta  I/Imax  index
27.63  100  2 0 0
39.48  78  2 2 0
23.87  44  1 1 1
64.55  38  4 2 0
48.87  29  2 2 2
71.60  28  4 2 2
46.66  24  3 1 1
57.06  14  4 0 0
62.73  10  3 3 1
84.98  9  4 4 0
89.89  8  5 3 1
76.70  8  5 1 1

Crystal structure
a b c (Å): 6.456 6.456 6.456
angles (deg): 90.00 90.00 90.00
Space group Pm-3m (No. 221)
Symmetry-distinct sites (fractional):
Ac (0.000, 0.000, 0.000)
Ac (0.000, 0.500, 0.500)
Ga (0.500, 0.500, 0.500)
As (0.000, 0.000, 0.500)



[2]
Diffraction record for Tb7Tm2Al2. The powder XRD pattern is computed, not measured: it uses a DFT-relaxed cell (GGA-PBE, Alexandria) and Cu Kα.
Intensities are scaled so that the largest is 100.

Main lines, by intensity (2θ from 10° to 90°):
two_theta  I/Imax  index
25.15  100  0 2 2
33.68  84  0 2 3
37.12  79  2 2 2
31.28  71  0 4 0
28.64  55  2 0 1
42.92  37  2 4 1
31.14  33  2 2 0
67.61  27  2 4 5
58.25  21  2 0 5
32.72  20  2 2 1
59.56  20  2 6 2
64.93  17  4 4 0

Crystal structure
a b c (Å): 6.644 11.438 9.010
angles (deg): 90.00 90.00 90.00
Space group Cmmm (No. 65)
Symmetry-distinct sites (fractional):
Tb (0.000, 0.000, 0.000)
Tb (0.000, 0.500, 0.180)
Tb (0.250, 0.250, 0.288)
Tm (0.244, 0.000, 0.500)
Al (0.000, 0.269, 0.000)